1.
This entry pairs a crystal structure of AgHPbC2SN2O with its computed powder diffractogram. Radiation: a wavelength of 1.5418 Å. Structure: a cell relaxed with GGA-PBE.
Neutral-atom scattering factors, no anomalous dispersion.

Structural model:
```
36
Lattice="21.773 0.000 0.000 0.000 3.967 0.000 0.000 0.000 7.111" Properties=species:S:1:pos:R:3 pbc="T T T"
Ag 4.308 0.992 0.065
Ag 6.579 2.975 3.620
Ag 15.194 0.992 3.491
Ag 17.466 2.975 7.047
H 1.074 2.975 5.136
H 9.812 0.992 1.580
H 11.961 2.975 5.531
H 20.699 0.992 1.975
Pb 0.997 2.975 2.174
Pb 9.890 0.992 5.730
Pb 11.883 2.975 1.382
Pb 20.777 0.992 4.938
C 2.242 0.992 6.863
C 3.848 0.992 3.844
C 7.039 2.975 0.288
C 8.645 2.975 3.307
C 13.128 0.992 3.804
C 14.734 0.992 6.823
C 17.926 2.975 3.267
C 19.532 2.975 0.249
S 5.283 0.992 4.658
S 5.603 2.975 1.103
S 16.170 0.992 6.009
S 16.490 2.975 2.453
N 1.116 0.992 6.520
N 2.816 0.992 3.264
N 8.070 2.975 6.820
N 9.771 2.975 2.965
N 12.003 0.992 4.147
N 13.703 0.992 0.291
N 18.957 2.975 3.847
N 20.657 2.975 0.591
O 0.337 2.975 4.495
O 10.550 0.992 0.939
O 11.224 2.975 6.172
O 21.436 0.992 2.617
```

Largest 10 diffraction maxima, most intense first, 2θ = 10–80°:
- 27.83°, intensity 1000
- 20.55°, intensity 577
- 25.72°, intensity 572
- 26.37°, intensity 541
- 42.25°, intensity 538
- 17.46°, intensity 490
- 34.87°, intensity 420
- 14.88°, intensity 415
- 27.01°, intensity 383
- 16.28°, intensity 378



2.
This entry pairs a crystal structure of AgH6CSN3 with its computed powder diffractogram. Radiation: a wavelength of 1.5418 Å. Structure: a cell relaxed with GGA-PBE.
Neutral-atom scattering factors, no anomalous dispersion.

Structural model:
```
48
Lattice="6.311 -3.567 0.000 6.311 3.567 0.000 -1.887 0.000 11.844" Properties=species:S:1:pos:R:3 pbc="T T T"
Ag 0.432 0.085 1.760
Ag -0.511 -0.085 7.682
Ag 11.246 0.085 4.162
Ag 10.302 -0.085 10.084
H 2.867 1.240 1.173
H 2.346 1.227 9.721
H 3.482 1.278 4.335
H 2.656 1.271 11.347
H 4.453 1.112 2.990
H 5.109 0.930 4.486
H 6.569 0.930 1.436
H 1.923 -1.240 7.095
H 7.225 1.112 2.932
H 7.135 1.271 6.419
H 3.289 -1.227 3.799
H 8.196 1.278 1.587
H 2.539 -1.278 10.257
H 7.446 1.227 8.045
H 3.599 -1.271 5.425
H 3.510 -1.112 8.912
H 8.812 1.240 4.749
H 4.165 -0.930 10.408
H 5.626 -0.930 7.358
H 6.282 -1.112 8.854
H 8.079 -1.271 0.497
H 7.252 -1.278 7.509
H 8.389 -1.227 2.123
H 7.868 -1.240 10.671
C 3.626 1.129 7.156
C 6.166 1.129 10.610
C 4.569 -1.129 1.234
C 7.109 -1.129 4.688
S 1.000 0.815 4.658
S 0.056 -0.815 10.580
S 10.679 0.815 1.264
S 9.735 -0.815 7.186
N 2.455 1.852 10.522
N 4.416 1.470 3.954
N 4.689 0.054 1.199
N 3.746 -0.054 7.121
N 7.263 1.470 1.968
N 7.336 1.852 7.244
N 3.399 -1.852 4.600
N 3.472 -1.470 9.875
N 6.989 0.054 4.723
N 6.045 -0.054 10.645
N 6.319 -1.470 7.890
N 8.280 -1.852 1.322
```

Largest 10 diffraction maxima, most intense first, 2θ = 10–80°:
- 14.28°, intensity 1000
- 30.19°, intensity 244
- 30.83°, intensity 156
- 31.34°, intensity 146
- 28.84°, intensity 128
- 32.48°, intensity 128
- 39.04°, intensity 120
- 39.58°, intensity 108
- 34.58°, intensity 107
- 21.56°, intensity 105



3.
This entry pairs a crystal structure of AgH4C2S2N3 with its computed powder diffractogram. Radiation: a wavelength of 1.5418 Å. Structure: a cell relaxed with GGA-PBE.
Neutral-atom scattering factors, no anomalous dispersion.

Structural model:
```
48
Lattice="3.959 0.000 0.000 0.000 23.708 0.000 -3.214 0.000 7.063" Properties=species:S:1:pos:R:3 pbc="T T T"
Ag 0.386 4.684 0.269
Ag -1.221 7.170 3.801
Ag 1.966 16.538 3.262
Ag 0.359 19.024 6.794
H -2.365 13.590 5.257
H -0.758 21.971 1.726
H -2.488 13.131 6.892
H -0.881 22.430 3.360
H -1.134 2.276 4.415
H 0.473 9.578 0.883
H -1.244 0.630 4.850
H 0.363 11.224 1.319
H 0.383 12.484 5.745
H 1.990 23.077 2.213
H 0.273 14.130 6.180
H 1.880 21.432 2.648
H 1.626 1.278 3.703
H 3.233 10.576 0.172
H 1.503 1.736 5.338
H 3.110 10.118 1.806
C 0.292 1.485 1.275
C -1.315 10.369 4.807
C 0.317 4.524 3.481
C -1.290 7.330 7.013
C 2.035 16.378 0.051
C 0.428 19.184 3.582
C 2.060 13.339 2.257
C 0.453 22.223 5.788
S -1.119 14.227 3.388
S -2.726 21.334 6.920
S 0.676 5.870 2.593
S -0.931 5.984 6.125
S 1.677 17.723 0.938
S 0.070 17.838 4.470
S 3.471 2.373 0.144
S 1.864 9.481 3.675
N -1.797 1.476 4.579
N -0.190 10.378 1.047
N 0.825 0.799 2.081
N -0.782 11.055 5.613
N 0.038 3.578 4.130
N 1.645 8.276 0.599
N -0.899 15.432 6.465
N 0.708 20.129 2.933
N 1.527 12.652 1.451
N -0.080 22.909 4.983
N 0.936 13.330 6.016
N 2.543 22.231 2.485
```

Largest 10 diffraction maxima, most intense first, 2θ = 10–80°:
- 25.25°, intensity 1000
- 16.84°, intensity 961
- 26.33°, intensity 452
- 13.08°, intensity 381
- 24.99°, intensity 372
- 27.06°, intensity 361
- 35.69°, intensity 324
- 42.81°, intensity 303
- 29.24°, intensity 299
- 22.90°, intensity 297



4.
This entry pairs a crystal structure of Ag2SbH9C2S3N2 with its computed powder diffractogram. Radiation: a wavelength of 1.5418 Å. Structure: a cell relaxed with GGA-PBE.
Neutral-atom scattering factors, no anomalous dispersion.

Structural model:
```
38
Lattice="6.113 0.000 0.000 0.000 12.000 0.000 -3.643 0.000 6.529" Properties=species:S:1:pos:R:3 pbc="T T T"
Ag 0.000 1.257 0.000
Ag -1.822 10.743 3.264
Ag 3.253 1.439 0.579
Ag 1.431 10.561 3.843
Sb 0.626 1.256 3.272
Sb 2.447 10.744 0.008
H -0.925 3.925 1.726
H -2.747 8.076 4.990
H -2.661 5.190 6.358
H -0.839 6.810 3.094
H -1.424 3.530 4.998
H 0.398 8.470 1.734
H -1.438 5.900 5.280
H 0.383 6.101 2.016
H 1.669 5.664 4.682
H 3.490 6.337 1.417
H 3.546 3.969 1.559
H 1.724 8.031 4.823
H 4.689 5.745 0.257
H 2.867 6.255 3.522
H 3.014 3.481 4.752
H 4.836 8.519 1.487
H 4.055 4.222 3.559
H 5.876 7.778 0.294
C -2.403 5.372 5.305
C -0.581 6.628 2.041
C 4.455 5.807 1.336
C 2.634 6.193 4.601
S 1.242 2.857 1.495
S -0.580 9.143 4.760
S 0.778 2.767 5.222
S 2.600 9.233 1.957
S 4.298 1.183 2.981
S 2.477 10.817 6.245
N -2.242 4.065 4.630
N -0.420 7.935 1.365
N 4.348 4.486 1.950
N 2.527 7.514 5.214
```

Largest 10 diffraction maxima, most intense first, 2θ = 10–80°:
- 28.33°, intensity 1000
- 32.19°, intensity 535
- 30.25°, intensity 528
- 40.85°, intensity 504
- 31.26°, intensity 493
- 32.99°, intensity 443
- 22.24°, intensity 440
- 29.78°, intensity 421
- 34.63°, intensity 367
- 21.47°, intensity 360



5.
This entry pairs a crystal structure of AgH12C4Se5N with its computed powder diffractogram. Radiation: a wavelength of 1.5418 Å. Structure: a cell relaxed with GGA-PBE.
Neutral-atom scattering factors, no anomalous dispersion.

Structural model:
```
46
Lattice="5.684 -9.303 0.000 5.684 9.303 0.000 -4.290 0.000 6.143" Properties=species:S:1:pos:R:3 pbc="T T T"
Ag 3.539 8.977 3.072
Ag 5.684 -8.977 0.000
H -0.138 2.598 2.909
H 0.982 2.563 1.501
H 1.535 4.455 4.588
H 3.041 4.423 2.725
H 0.735 2.934 5.132
H 3.325 2.895 1.814
H -2.283 -2.598 5.980
H 1.201 0.858 4.006
H 2.280 0.832 2.571
H -1.163 -2.563 4.572
H 2.507 3.157 5.390
H 3.346 -0.858 0.935
H 4.012 3.096 3.475
H 0.135 -0.832 5.643
H 4.219 5.192 5.450
H 2.983 1.105 4.214
H 2.880 -2.934 2.061
H 1.180 -2.895 4.886
H 5.127 -1.105 1.143
H 3.680 -4.455 1.517
H 0.896 -4.423 5.796
H 4.652 -3.157 2.319
H 6.157 -3.096 0.403
H 6.363 -5.192 2.378
C 0.774 3.022 2.475
C 1.656 3.373 4.731
C 3.175 3.338 2.807
C 2.115 1.271 3.562
C -1.371 -3.022 5.547
C 4.260 -1.271 0.490
C 3.801 -3.373 1.659
C 1.030 -3.338 5.879
Se -1.994 1.256 5.212
Se 0.150 -1.256 2.140
Se 5.213 5.959 1.197
Se 6.989 2.847 2.762
Se 5.196 2.220 5.927
Se 7.904 1.245 1.248
Se 5.759 -1.245 4.319
Se 3.068 -5.959 4.269
Se 4.845 -2.847 5.834
Se 7.341 -2.220 2.855
N 1.927 2.748 3.395
N 4.071 -2.748 0.323
```

Largest 10 diffraction maxima, most intense first, 2θ = 10–80°:
- 10.62°, intensity 1000
- 25.80°, intensity 243
- 27.10°, intensity 193
- 24.00°, intensity 191
- 18.63°, intensity 149
- 37.74°, intensity 145
- 30.39°, intensity 134
- 30.74°, intensity 105
- 32.27°, intensity 102
- 29.13°, intensity 93



6.
This entry pairs a crystal structure of AgHCO2 with its computed powder diffractogram. Radiation: a wavelength of 1.5418 Å. Structure: a cell relaxed with GGA-PBE.
Neutral-atom scattering factors, no anomalous dispersion.

Structural model:
```
40
Lattice="7.040 0.000 0.000 0.000 10.379 0.000 0.000 0.000 6.449" Properties=species:S:1:pos:R:3 pbc="T T T"
Ag 0.793 1.140 0.272
Ag 0.793 4.050 3.497
Ag 2.727 1.140 3.497
Ag 2.727 4.050 0.272
Ag 4.314 6.329 6.177
Ag 4.314 9.240 2.952
Ag 6.247 6.329 2.952
Ag 6.247 9.240 6.177
H 0.909 6.817 0.243
H 0.909 8.752 3.467
H 2.611 6.817 3.467
H 2.611 8.752 0.243
H 4.429 1.627 6.206
H 4.429 3.562 2.982
H 6.131 1.627 2.982
H 6.131 3.562 6.206
C 0.638 6.467 5.678
C 0.638 9.102 2.454
C 2.882 6.467 2.454
C 2.882 9.102 5.678
C 4.158 1.277 0.771
C 4.158 3.912 3.996
C 6.402 1.277 3.996
C 6.402 3.912 0.771
O 0.188 1.991 4.653
O 0.188 3.198 1.429
O 1.176 5.397 5.280
O 1.176 10.173 2.055
O 2.344 5.397 2.055
O 2.344 10.173 5.280
O 3.332 1.991 1.429
O 3.332 3.198 4.653
O 3.708 7.181 1.796
O 3.708 8.388 5.020
O 4.696 0.207 1.169
O 4.696 4.983 4.394
O 5.864 0.207 4.394
O 5.864 4.983 1.169
O 6.852 7.181 5.020
O 6.852 8.388 1.796
```

Largest 10 diffraction maxima, most intense first, 2θ = 10–80°:
- 33.76°, intensity 1000
- 20.54°, intensity 734
- 15.21°, intensity 451
- 34.57°, intensity 177
- 47.81°, intensity 174
- 44.83°, intensity 174
- 27.66°, intensity 165
- 40.32°, intensity 162
- 28.75°, intensity 161
- 30.18°, intensity 154